# 1
Calculated powder diffractogram
Compound: Mn2AlZn
Radiation: Cu Kα
Structure: a structure optimized by DFT (GGA-PBE)

Largest 10 diffraction maxima, sorted by position, 2θ = 10–90°:
- d = 4.052 Å, 21.93 deg, intensity 57, hkl 0 0 2
- d = 3.336 Å, 26.72 deg, intensity 80, hkl 1 0 1
- d = 2.181 Å, 41.39 deg, intensity 1000, hkl 1 1 2
- d = 2.026 Å, 44.73 deg, intensity 198, hkl 0 0 4
- d = 1.830 Å, 49.82 deg, intensity 282, hkl 2 0 0
- d = 1.358 Å, 69.17 deg, intensity 195, hkl 2 0 4
- d = 1.294 Å, 73.12 deg, intensity 82, hkl 2 2 0
- d = 1.198 Å, 80.15 deg, intensity 126, hkl 1 1 6
- d = 1.113 Å, 87.67 deg, intensity 200, hkl 3 1 2
- d = 1.091 Å, 89.95 deg, intensity 95, hkl 2 2 4

Atomic structure:
Lattice parameters (Å, degrees): 3.6606 3.6606 8.1045 90.00 90.00 90.00
Space group I-4m2 (No. 119)
Symmetry-distinct sites (fractional):
Mn  0.0000  0.0000  0.0000 x2
Mn  0.0000  0.5000  0.2500 x2
Al  0.0000  0.0000  0.5000 x2
Zn  0.0000  0.5000  0.7500 x2

***

# 2
Calculated powder diffractogram
Compound: MnAlZn3
Radiation: Cu Kα
Structure: a structure optimized by DFT (GGA-PBE)

Largest 10 diffraction maxima, sorted by position, 2θ = 10–90°:
- d = 4.720 Å, 18.80 deg, intensity 695, hkl 1 0 0
- d = 2.725 Å, 32.87 deg, intensity 782, hkl 1 1 1
- d = 2.360 Å, 38.13 deg, intensity 1000, hkl 2 0 0
- d = 2.111 Å, 42.84 deg, intensity 323, hkl 2 1 0
- d = 1.669 Å, 55.03 deg, intensity 653, hkl 2 2 0
- d = 1.573 Å, 58.68 deg, intensity 147, hkl 3 0 0
- d = 1.423 Å, 65.60 deg, intensity 299, hkl 3 1 1
- d = 1.363 Å, 68.92 deg, intensity 211, hkl 2 2 2
- d = 1.180 Å, 81.59 deg, intensity 96, hkl 4 0 0
- d = 1.145 Å, 84.67 deg, intensity 75, hkl 4 1 0

Atomic structure:
Lattice parameters (Å, degrees): 4.7199 4.7199 4.7199 90.00 90.00 90.00
Space group Pm-3m (No. 221)
Symmetry-distinct sites (fractional):
Mn  0.0000  0.0000  0.0000 x1
Al  0.5000  0.5000  0.5000 x1
Zn  0.0000  0.0000  0.5000 x3

***

# 3
Calculated powder diffractogram
Compound: MnAl3Zn
Radiation: Cu Kα
Structure: a structure optimized by DFT (GGA-PBE)

Largest 10 diffraction maxima, sorted by position, 2θ = 10–90°:
- d = 3.743 Å, 23.77 deg, intensity 930, hkl 1 1 0
- d = 3.469 Å, 25.68 deg, intensity 883, hkl 2 0 0
- d = 2.735 Å, 32.74 deg, intensity 353, hkl 2 1 0
- d = 2.497 Å, 35.97 deg, intensity 803, hkl 1 0 2
- d = 2.435 Å, 36.91 deg, intensity 389, hkl 2 1 -1
- d = 2.293 Å, 39.29 deg, intensity 415, hkl 0 1 2
- d = 2.223 Å, 40.58 deg, intensity 414, hkl 0 2 0
- d = 2.052 Å, 44.13 deg, intensity 938, hkl 3 1 0
- d = 1.915 Å, 47.48 deg, intensity 1000, hkl 2 1 -2
- d = 1.911 Å, 47.59 deg, intensity 815, hkl 2 1 2

Atomic structure:
Lattice parameters (Å, degrees): 6.9376 4.4463 5.3529 90.00 90.16 90.00
Space group P2/c (No. 13)
Symmetry-distinct sites (fractional):
Mn  0.0000  0.0000  0.0000 x2
Al  0.0000  0.4890  0.2500 x2
Al  0.3027  0.0802  0.7512 x4
Zn  0.5000  0.4112  0.2500 x2

***

# 4
Calculated powder diffractogram
Compound: MnAl6Zn
Radiation: Cu Kα
Structure: a structure optimized by DFT (GGA-PBE)

Largest 10 diffraction maxima, sorted by position, 2θ = 10–90°:
- d = 6.067 Å, 14.60 deg, intensity 1000, hkl 0 2 0
- d = 3.966 Å, 22.42 deg, intensity 826, hkl 1 1 -1
- d = 3.033 Å, 29.45 deg, intensity 361, hkl 0 4 0
- d = 2.527 Å, 35.53 deg, intensity 347, hkl 2 2 0
- d = 2.281 Å, 39.50 deg, intensity 227, hkl 1 1 1
- d = 2.271 Å, 39.69 deg, intensity 224, hkl 3 1 -1
- d = 2.099 Å, 43.09 deg, intensity 656, hkl 2 0 -2
- d = 2.022 Å, 44.82 deg, intensity 336, hkl 0 6 0
- d = 2.014 Å, 45.01 deg, intensity 690, hkl 1 3 1
- d = 2.007 Å, 45.18 deg, intensity 683, hkl 3 3 -1

Atomic structure:
Lattice parameters (Å, degrees): 6.9482 12.1330 4.1963 90.00 126.86 90.00
Space group C2/m (No. 12)
Symmetry-distinct sites (fractional):
Mn  0.0000  0.0000  0.0000 x2
Al  0.2304  0.0000  0.7300 x4
Al  0.2374  0.1789  0.2373 x8
Zn  0.0000  0.5000  0.5000 x2

***

# 5
Calculated powder diffractogram
Compound: Al6Mo7
Radiation: Cu Kα
Structure: a structure optimized by DFT (GGA-PBE)

Largest 10 diffraction maxima, sorted by position, 2θ = 10–90°:
- d = 4.516 Å, 19.66 deg, intensity 727, hkl 1 0 1
- d = 4.473 Å, 19.85 deg, intensity 917, hkl 0 0 6
- d = 2.282 Å, 39.49 deg, intensity 613, hkl 0 2 1
- d = 2.277 Å, 39.59 deg, intensity 817, hkl 1 1 6
- d = 2.258 Å, 39.93 deg, intensity 375, hkl 2 0 2
- d = 2.236 Å, 40.33 deg, intensity 438, hkl 0 0 12
- d = 2.153 Å, 41.96 deg, intensity 368, hkl 0 1 11
- d = 2.107 Å, 42.93 deg, intensity 1000, hkl 2 0 5
- d = 1.966 Å, 46.17 deg, intensity 564, hkl 0 2 7
- d = 1.299 Å, 72.78 deg, intensity 367, hkl 2 0 17

Atomic structure:
Lattice parameters (Å, degrees): 5.2897 5.2897 26.8358 90.00 90.00 120.00
Space group R-3m (No. 166, hexagonal axes)
Symmetry-distinct sites (fractional):
Al  0.0000  0.0000  0.0495 x6
Al  0.0000  0.0000  0.1521 x6
Al  0.0000  0.0000  0.3337 x6
Mo  0.0000  0.0000  0.5000 x3
Mo  0.0051  0.5025  0.9126 x18

***

# 6
Calculated powder diffractogram
Compound: Al3Mo
Radiation: Cu Kα
Structure: a structure optimized by DFT (GGA-PBE)

Largest 10 diffraction maxima, sorted by position, 2θ = 10–90°:
- d = 4.493 Å, 19.76 deg, intensity 351, hkl 0 2 0
- d = 4.236 Å, 20.97 deg, intensity 627, hkl 0 1 1
- d = 2.728 Å, 32.83 deg, intensity 188, hkl 1 1 0
- d = 2.459 Å, 36.53 deg, intensity 344, hkl 1 0 1
- d = 2.247 Å, 40.14 deg, intensity 356, hkl 0 4 0
- d = 2.157 Å, 41.87 deg, intensity 1000, hkl 1 2 1
- d = 2.118 Å, 42.70 deg, intensity 468, hkl 0 2 2
- d = 1.659 Å, 55.39 deg, intensity 198, hkl 1 4 1
- d = 1.279 Å, 74.12 deg, intensity 178, hkl 1 6 1
- d = 1.186 Å, 81.06 deg, intensity 318, hkl 1 4 3

Atomic structure:
Lattice parameters (Å, degrees): 2.8635 8.9864 4.8024 90.00 90.00 90.00
Space group Imm2 (No. 44)
Symmetry-distinct sites (fractional):
Al  0.0000  0.0000  0.0000 x2
Al  0.0000  0.2444  0.6571 x4
Mo  0.0000  0.5000  0.9888 x2

***

# 7
Calculated powder diffractogram
Compound: Al2Mo
Radiation: Cu Kα
Structure: a structure optimized by DFT (GGA-PBE)

Largest 10 diffraction maxima, sorted by position, 2θ = 10–90°:
- d = 4.393 Å, 20.22 deg, intensity 404, hkl 0 0 2
- d = 3.046 Å, 29.32 deg, intensity 542, hkl 1 0 1
- d = 2.297 Å, 39.23 deg, intensity 594, hkl 1 1 0
- d = 2.175 Å, 41.52 deg, intensity 1000, hkl 1 0 3
- d = 2.035 Å, 44.52 deg, intensity 201, hkl 1 1 2
- d = 1.624 Å, 56.68 deg, intensity 196, hkl 2 0 0
- d = 1.545 Å, 59.85 deg, intensity 96, hkl 1 0 5
- d = 1.433 Å, 65.09 deg, intensity 104, hkl 2 1 1
- d = 1.301 Å, 72.66 deg, intensity 370, hkl 2 1 3
- d = 1.235 Å, 77.28 deg, intensity 154, hkl 1 1 6

Atomic structure:
Lattice parameters (Å, degrees): 3.2479 3.2479 8.7855 90.00 90.00 90.00
Space group I4/mmm (No. 139)
Symmetry-distinct sites (fractional):
Al  0.0000  0.0000  0.1595 x4
Mo  0.0000  0.0000  0.5000 x2

***

# 8
Calculated powder diffractogram
Compound: Al22Mo5
Radiation: Cu Kα
Structure: a structure optimized by DFT (GGA-PBE)

Largest 10 diffraction maxima, sorted by position, 2θ = 10–90°:
- d = 4.022 Å, 22.10 deg, intensity 369, hkl 1 7 1
- d = 3.686 Å, 24.14 deg, intensity 285, hkl 0 20 0
- d = 3.458 Å, 25.76 deg, intensity 317, hkl 2 14 0
- d = 2.444 Å, 36.77 deg, intensity 388, hkl 1 25 1
- d = 2.316 Å, 38.89 deg, intensity 249, hkl 1 27 1
- d = 2.228 Å, 40.48 deg, intensity 380, hkl 4 8 0
- d = 2.198 Å, 41.06 deg, intensity 467, hkl 1 29 1
- d = 2.161 Å, 41.80 deg, intensity 1000, hkl 3 19 1
- d = 2.142 Å, 42.18 deg, intensity 373, hkl 2 6 2
- d = 2.091 Å, 43.28 deg, intensity 511, hkl 3 21 1

Atomic structure:
Lattice parameters (Å, degrees): 9.1786 73.8659 4.9412 90.00 90.00 90.00
Space group Fdd2 (No. 43)
Symmetry-distinct sites (fractional):
Al  0.0018  0.1585  0.0041 x16
Al  0.0203  0.1042  0.5672 x16
Al  0.0223  0.2412  0.3300 x16
Al  0.0258  0.4162  0.5923 x16
Al  0.0400  0.0188  0.2500 x16
Al  0.0442  0.1221  0.0454 x16
Al  0.0666  0.3243  0.9947 x16
Al  0.0738  0.2222  0.8461 x16
Al  0.0826  0.4356  0.0788 x16
Al  0.1046  0.0367  0.7522 x16
Al  0.1224  0.2029  0.3303 x16
Mo  0.0000  0.0000  0.7521 x8
Mo  0.0369  0.1410  0.5161 x16
Mo  0.1060  0.3048  0.5029 x16

***

# 9
Calculated powder diffractogram
Compound: Al2Mo
Radiation: Cu Kα
Structure: a structure optimized by DFT (GGA-PBE)

Largest 10 diffraction maxima, sorted by position, 2θ = 10–90°:
- d = 6.558 Å, 13.50 deg, intensity 302, hkl 0 0 1
- d = 4.430 Å, 20.04 deg, intensity 1000, hkl 2 0 -1
- d = 3.609 Å, 24.67 deg, intensity 369, hkl 2 0 1
- d = 2.504 Å, 35.86 deg, intensity 336, hkl 2 0 2
- d = 2.450 Å, 36.68 deg, intensity 835, hkl 1 1 1
- d = 2.215 Å, 40.73 deg, intensity 703, hkl 4 0 -2
- d = 2.186 Å, 41.30 deg, intensity 522, hkl 0 0 3
- d = 2.175 Å, 41.52 deg, intensity 655, hkl 4 0 1
- d = 2.147 Å, 42.09 deg, intensity 971, hkl 1 1 -2
- d = 2.141 Å, 42.20 deg, intensity 987, hkl 3 1 0

Atomic structure:
Lattice parameters (Å, degrees): 10.1515 2.8091 6.7082 90.00 102.13 90.00
Space group Cm (No. 8)
Symmetry-distinct sites (fractional):
Al  0.0000  0.0000  0.0000 x2
Al  0.0660  0.0000  0.6035 x2
Al  0.1815  0.5000  0.3046 x2
Al  0.3382  0.0000  0.6605 x2
Mo  0.2233  0.5000  0.9209 x2
Mo  0.4090  0.0000  0.2986 x2

***

# 10
Calculated powder diffractogram
Compound: AlMo
Radiation: Cu Kα
Structure: a structure optimized by DFT (GGA-PBE)

Largest 10 diffraction maxima, sorted by position, 2θ = 10–90°:
- d = 4.249 Å, 20.91 deg, intensity 441, hkl 0 0 1
- d = 2.640 Å, 33.95 deg, intensity 260, hkl 1 1 0
- d = 2.243 Å, 40.21 deg, intensity 1000, hkl 1 1 1
- d = 2.158 Å, 41.87 deg, intensity 222, hkl 0 2 0
- d = 2.125 Å, 42.55 deg, intensity 212, hkl 0 0 2
- d = 1.655 Å, 55.52 deg, intensity 121, hkl 1 1 2
- d = 1.514 Å, 61.23 deg, intensity 139, hkl 0 2 2
- d = 1.261 Å, 75.36 deg, intensity 201, hkl 1 3 1
- d = 1.248 Å, 76.29 deg, intensity 147, hkl 1 1 3
- d = 1.121 Å, 86.85 deg, intensity 144, hkl 2 2 2

Atomic structure:
Lattice parameters (Å, degrees): 3.3385 4.3151 4.2491 90.00 90.00 90.00
Space group Cmmm (No. 65)
Symmetry-distinct sites (fractional):
Al  0.0000  0.0000  0.0000 x2
Mo  0.0000  0.5000  0.5000 x2

***

# 11
Calculated powder diffractogram
Compound: Al12Mo
Radiation: Cu Kα
Structure: a structure optimized by DFT (GGA-PBE)

Largest 10 diffraction maxima, sorted by position, 2θ = 10–90°:
- d = 5.363 Å, 16.53 deg, intensity 809, hkl 1 1 0
- d = 3.096 Å, 28.83 deg, intensity 344, hkl 2 1 1
- d = 2.398 Å, 37.50 deg, intensity 1000, hkl 3 1 0
- d = 2.189 Å, 41.23 deg, intensity 496, hkl 2 2 2
- d = 2.027 Å, 44.71 deg, intensity 934, hkl 3 2 1
- d = 1.896 Å, 47.98 deg, intensity 155, hkl 4 0 0
- d = 1.548 Å, 59.73 deg, intensity 145, hkl 4 2 2
- d = 1.487 Å, 62.43 deg, intensity 239, hkl 4 3 1
- d = 1.301 Å, 72.69 deg, intensity 287, hkl 5 0 3
- d = 1.230 Å, 77.59 deg, intensity 379, hkl 5 3 2

Atomic structure:
Lattice parameters (Å, degrees): 7.5846 7.5846 7.5846 90.00 90.00 90.00
Space group Im-3 (No. 204)
Symmetry-distinct sites (fractional):
Al  0.0000  0.1868  0.3075 x24
Mo  0.0000  0.0000  0.0000 x2

***

# 12
Calculated powder diffractogram
Compound: AlMoSeN2
Radiation: Cu Kα
Structure: a structure optimized by DFT (GGA-PBE)

Largest 10 diffraction maxima, sorted by position, 2θ = 10–90°:
- d = 3.904 Å, 22.78 deg, intensity 1000, hkl 1 0 0
- d = 2.761 Å, 32.43 deg, intensity 559, hkl 1 1 0
- d = 2.652 Å, 33.80 deg, intensity 430, hkl 0 0 2
- d = 2.194 Å, 41.15 deg, intensity 415, hkl 1 0 2
- d = 1.952 Å, 46.52 deg, intensity 332, hkl 2 0 0
- d = 1.912 Å, 47.54 deg, intensity 388, hkl 1 1 2
- d = 1.746 Å, 52.40 deg, intensity 200, hkl 2 1 0
- d = 1.572 Å, 58.73 deg, intensity 318, hkl 2 0 2
- d = 1.458 Å, 63.82 deg, intensity 219, hkl 2 1 2
- d = 1.119 Å, 87.06 deg, intensity 148, hkl 3 1 2

Atomic structure:
Lattice parameters (Å, degrees): 3.9045 3.9045 5.3035 90.00 90.00 90.00
Space group P4/mmm (No. 123)
Symmetry-distinct sites (fractional):
Al  0.0000  0.0000  0.0000 x1
Mo  0.5000  0.5000  0.5000 x1
Se  0.5000  0.5000  0.0000 x1
N  0.0000  0.5000  0.5000 x2